# Sr2LaI7
Computed X-ray powder pattern, copper Kα. Input: the PBE geometry in Alexandria.

Crystal structure
a = 8.2312 Å, b = 16.2970 Å, c = 12.5952 Å
α = 90.00°, β = 97.71°, γ = 90.00°
Space group P2_1/c (No. 14)
Inequivalent atoms, fractional coordinates:
1 Sr 0.1769 0.2177 0.0712 (multiplicity 4)
2 Sr 0.1776 0.5383 0.2039 (multiplicity 4)
3 La 0.3131 0.6514 0.7229 (multiplicity 4)
4 I 0.0199 0.2283 0.3134 (multiplicity 4)
5 I 0.0929 0.5969 0.9224 (multiplicity 4)
6 I 0.1396 0.0202 0.1552 (multiplicity 4)
7 I 0.2211 0.6706 0.4677 (multiplicity 4)
8 I 0.3666 0.0881 0.8902 (multiplicity 4)
9 I 0.4060 0.1077 0.5799 (multiplicity 4)
10 I 0.4945 0.6746 0.2246 (multiplicity 4)

Top 6 peaks for 10° ≤ 2θ ≤ 90°, by intensity:
hkl	Position (°2θ)	d_spacing	Rel. int.
1 4 0	24.44	3.642	100
2 1 -3	29.07	3.072	79
0 1 4	29.14	3.065	79
3 2 -1	34.60	2.592	70
2 3 -2	29.51	3.027	59
2 2 -2	26.79	3.327	56



# Cs6KRb9
Computed X-ray powder pattern, copper Kα. Input: the PBE geometry in Alexandria.

Crystal structure
a = 13.0046 Å, b = 13.0046 Å, c = 18.9146 Å
α = 90.00°, β = 90.00°, γ = 90.00°
Space group I4/m (No. 87)
Inequivalent atoms, fractional coordinates:
1 Cs 0.0000 0.0000 0.2437 (multiplicity 4)
2 Cs 0.1461 0.3409 0.0000 (multiplicity 8)
3 K 0.0000 0.0000 0.0000 (multiplicity 2)
4 Rb 0.0000 0.0000 0.5000 (multiplicity 2)
5 Rb 0.1425 0.3481 0.3310 (multiplicity 16)

Top 6 peaks for 10° ≤ 2θ ≤ 90°, by intensity:
hkl	Position (°2θ)	d_spacing	Rel. int.
2 1 3	20.78	4.275	100
1 3 0	21.61	4.112	59
5 2 3	39.98	2.255	26
3 3 6	41.07	2.198	14
1 3 4	28.77	3.104	13
4 0 6	39.83	2.263	13



# Ba5Na4Mg
Computed X-ray powder pattern, copper Kα. Input: the PBE geometry in Alexandria.

Crystal structure
a = 4.5282 Å, b = 4.5397 Å, c = 24.0588 Å
α = 90.00°, β = 90.00°, γ = 90.00°
Space group Pmmm (No. 47)
Inequivalent atoms, fractional coordinates:
1 Ba 0.0000 0.0000 0.0000 (multiplicity 1)
2 Ba 0.0000 0.0000 0.2054 (multiplicity 2)
3 Ba 0.0000 0.0000 0.4143 (multiplicity 2)
4 Na 0.5000 0.5000 0.1026 (multiplicity 2)
5 Na 0.5000 0.5000 0.3103 (multiplicity 2)
6 Mg 0.5000 0.5000 0.5000 (multiplicity 1)

Top 6 peaks for 10° ≤ 2θ ≤ 90°, by intensity:
hkl	Position (°2θ)	d_spacing	Rel. int.
1 0 5	27.02	3.300	100
1 0 0	19.58	4.534	55
1 1 0	27.83	3.206	51
2 1 5	48.73	1.869	39
0 0 5	18.44	4.812	28
1 1 5	33.59	2.668	28



# Pu3Hg5Pb
Computed X-ray powder pattern, copper Kα. Input: the PBE geometry in Alexandria.

Crystal structure
a = 9.2289 Å, b = 9.2289 Å, c = 6.4967 Å
α = 90.00°, β = 90.00°, γ = 120.00°
Space group P6_3/mcm (No. 193)
Inequivalent atoms, fractional coordinates:
1 Pu 0.0000 0.3331 0.2500 (multiplicity 6)
2 Hg 0.0000 0.3362 0.7500 (multiplicity 6)
3 Hg 0.3333 0.6667 0.0000 (multiplicity 4)
4 Pb 0.0000 0.0000 0.0000 (multiplicity 2)

Top 6 peaks for 10° ≤ 2θ ≤ 90°, by intensity:
hkl	Position (°2θ)	d_spacing	Rel. int.
3 0 0	33.64	2.664	100
1 1 2	33.74	2.656	86
3 3 0	60.20	1.537	53
2 2 2	48.39	1.881	32
3 0 4	67.55	1.387	28
5 2 2	80.70	1.191	15



# NbNi3Se6
Computed X-ray powder pattern, copper Kα. Input: the PBE geometry in Alexandria.

Crystal structure
a = 10.0517 Å, b = 3.6127 Å, c = 10.4592 Å
α = 90.00°, β = 107.08°, γ = 90.00°
Space group P2_1/m (No. 11)
Inequivalent atoms, fractional coordinates:
1 Nb 0.2089 0.2500 0.0647 (multiplicity 2)
2 Ni 0.0105 0.2500 0.6508 (multiplicity 2)
3 Ni 0.3455 0.2500 0.4441 (multiplicity 2)
4 Ni 0.4203 0.7500 0.8239 (multiplicity 2)
5 Se 0.0469 0.7500 0.8991 (multiplicity 2)
6 Se 0.1143 0.2500 0.4727 (multiplicity 2)
7 Se 0.2108 0.7500 0.2632 (multiplicity 2)
8 Se 0.2516 0.2500 0.8099 (multiplicity 2)
9 Se 0.4075 0.7500 0.0656 (multiplicity 2)
10 Se 0.4310 0.7500 0.5974 (multiplicity 2)

Top 6 peaks for 10° ≤ 2θ ≤ 90°, by intensity:
hkl	Position (°2θ)	d_spacing	Rel. int.
1 1 2	33.49	2.675	100
0 2 0	50.53	1.806	69
0 1 3	36.69	2.450	66
4 0 -2	36.43	2.466	51
3 1 0	37.51	2.397	48
3 1 -1	36.59	2.456	40



# MnFeHg2
Computed X-ray powder pattern, copper Kα. Input: the PBE geometry in Alexandria.

Crystal structure
a = 10.2925 Å, b = 2.9899 Å, c = 4.8550 Å
α = 90.00°, β = 109.66°, γ = 90.00°
Space group Cm (No. 8)
Inequivalent atoms, fractional coordinates:
1 Mn 0.0000 0.0000 0.0000 (multiplicity 2)
2 Fe 0.2899 0.0000 0.7210 (multiplicity 2)
3 Hg 0.0386 0.5000 0.5373 (multiplicity 2)
4 Hg 0.2607 0.5000 0.1984 (multiplicity 2)

Top 6 peaks for 10° ≤ 2θ ≤ 90°, by intensity:
hkl	Position (°2θ)	d_spacing	Rel. int.
1 1 1	38.79	2.322	100
3 1 -1	41.37	2.182	89
4 0 0	37.10	2.423	54
2 0 -2	37.43	2.403	52
1 1 0	31.31	2.857	41
2 0 -1	21.78	4.081	37